Entry 1:
For La4Ho8Th, a crystal structure in Alexandria, relaxed with GGA-PBE gives the theoretical PXRD pattern in this record (copper Kα).
Lines closer than 0.1° are merged.

Cell and atoms:
```
data_La4Ho8Th
_chemical_formula_sum 'La12 Ho24 Th3'
_cell_length_a 11.0618
_cell_length_b 11.0618
_cell_length_c 13.4934
_cell_angle_alpha 90.00
_cell_angle_beta 90.00
_cell_angle_gamma 120.00
_space_group_name_H-M_alt 'R -3 m'
_space_group_IT_number 166
_space_group_name_Hall '-R 3 2"'
loop_
_atom_site_label
_atom_site_type_symbol
_atom_site_fract_x
_atom_site_fract_y
_atom_site_fract_z
La1 La 0.0000 0.0000 0.0000
La2 La 0.0000 0.5000 0.0000
Ho1 Ho 0.0000 0.0000 0.2411
Ho2 Ho 0.0114 0.5057 0.7464
Th1 Th 0.0000 0.0000 0.5000
```

Largest 10 diffraction maxima, in order of rising 2θ, 10 to 80 degrees two-theta:
| h k l | d [Å] | I (rel.) |
| --- | --- | --- |
| 0 1 2 | 5.523 | 7 |
| 0 0 3 | 4.510 | 6 |
| 2 0 2 | 3.906 | 8 |
| 1 1 3 | 3.493 | 8 |
| 2 2 0 | 2.762 | 100 |
| 4 0 4 | 1.953 | 18 |
| 6 0 0 | 1.596 | 28 |
| 2 0 8 | 1.591 | 9 |
| 6 2 4 | 1.236 | 8 |
| 4 2 8 | 1.234 | 8 |



Entry 2:
For LaHo5Th2, a crystal structure in Alexandria, relaxed with GGA-PBE gives the theoretical PXRD pattern in this record (copper Kα).
Lines closer than 0.1° are merged.

Cell and atoms:
```
data_LaHo5Th2
_chemical_formula_sum 'La2 Ho10 Th4'
_cell_length_a 3.544
_cell_length_b 11.216
_cell_length_c 13.225
_cell_angle_alpha 90.00
_cell_angle_beta 90.00
_cell_angle_gamma 90.00
_space_group_name_H-M_alt 'I m m m'
_space_group_IT_number 71
_space_group_name_Hall '-I 2 2'
loop_
_atom_site_label
_atom_site_type_symbol
_atom_site_fract_x
_atom_site_fract_y
_atom_site_fract_z
La1 La 0.000 0.000 0.000
Ho1 Ho 0.000 0.226 0.367
Ho2 Ho 0.000 0.500 0.000
Th1 Th 0.000 0.500 0.262
```

Largest 10 diffraction maxima, in order of rising 2θ, 10 to 80 degrees two-theta:
| h k l | d [Å] | I (rel.) |
| --- | --- | --- |
| 1 1 2 | 3.009 | 20 |
| 1 2 1 | 2.922 | 53 |
| 0 2 4 | 2.848 | 100 |
| 0 4 0 | 2.804 | 41 |
| 1 0 3 | 2.762 | 41 |
| 1 3 0 | 2.572 | 23 |
| 1 1 4 | 2.363 | 19 |
| 1 4 3 | 1.968 | 25 |
| 1 2 7 | 1.598 | 22 |
| 2 2 4 | 1.505 | 32 |



Entry 3:
For La4Ho3Th, a crystal structure in Alexandria, relaxed with GGA-PBE gives the theoretical PXRD pattern in this record (copper Kα).
Lines closer than 0.1° are merged.

Cell and atoms:
```
data_La4Ho3Th
_chemical_formula_sum 'La8 Ho6 Th2'
_cell_length_a 11.923
_cell_length_b 13.455
_cell_length_c 3.446
_cell_angle_alpha 90.00
_cell_angle_beta 90.00
_cell_angle_gamma 90.00
_space_group_name_H-M_alt 'C m m m'
_space_group_IT_number 65
_space_group_name_Hall '-C 2 2'
loop_
_atom_site_label
_atom_site_type_symbol
_atom_site_fract_x
_atom_site_fract_y
_atom_site_fract_z
La1 La 0.000 0.248 0.000
La2 La 0.241 0.500 0.500
Ho1 Ho 0.000 0.000 0.000
Ho2 Ho 0.250 0.250 0.500
Th1 Th 0.000 0.500 0.000
```

Largest 10 diffraction maxima, in order of rising 2θ, 10 to 80 degrees two-theta:
| h k l | d [Å] | I (rel.) |
| --- | --- | --- |
| 0 4 0 | 3.364 | 46 |
| 2 0 1 | 2.983 | 100 |
| 2 4 1 | 2.232 | 89 |
| 0 0 2 | 1.722 | 20 |
| 0 8 0 | 1.682 | 6 |
| 0 4 2 | 1.533 | 27 |
| 4 0 2 | 1.491 | 12 |
| 2 8 1 | 1.465 | 24 |
| 4 4 2 | 1.363 | 18 |
| 0 8 2 | 1.203 | 12 |